Ca8In3: computed PXRD pattern (a wavelength of 1.5418 Å), based on a GGA-PBE-relaxed structure.
No peak broadening, texture or thermal motion is included.

Cell and atoms:
Unit cell a=9.584 b=9.680 c=9.741 alpha=98.82 beta=100.96 gamma=119.61
Sites, in units of the cell vectors:
Ca 0.031 0.201 0.151
Ca 0.040 0.208 0.797
Ca 0.165 0.621 0.390
Ca 0.202 0.000 0.609
Ca 0.274 0.655 0.799
Ca 0.380 0.902 0.148
Ca 0.423 0.272 0.392
Ca 0.458 0.561 0.170
Ca 0.542 0.439 0.830
Ca 0.577 0.728 0.608
Ca 0.620 0.098 0.852
Ca 0.726 0.345 0.201
Ca 0.798 0.000 0.391
Ca 0.835 0.379 0.610
Ca 0.960 0.792 0.203
Ca 0.969 0.799 0.849
In 0.000 0.500 0.000
In 0.177 0.340 0.528
In 0.327 0.162 0.000
In 0.500 0.000 0.500
In 0.673 0.838 0.000
In 0.823 0.660 0.472

The 10 most intense peaks (15 to 90 degrees two-theta), in order of rising 2θ:
d/Å  two_theta  I/Imax
4.577  19.4  23
4.552  19.5  75
3.983  22.3  22
2.827  31.7  39
2.805  31.9  31
2.787  32.1  35
2.776  32.2  100
2.398  37.5  29
2.389  37.6  28
2.347  38.3  14


Pr3RuBr3: computed PXRD pattern (a wavelength of 1.5418 Å), based on a GGA-PBE-relaxed structure.
No peak broadening, texture or thermal motion is included.

Cell and atoms:
Unit cell a=9.117 b=4.253 c=12.259 alpha=90.00 beta=92.91 gamma=90.00
Sites, in units of the cell vectors:
Pr 0.102 0.250 0.387
Pr 0.120 0.250 0.839
Pr 0.320 0.750 0.621
Pr 0.680 0.250 0.379
Pr 0.880 0.750 0.161
Pr 0.898 0.750 0.613
Ru 0.112 0.250 0.623
Ru 0.888 0.750 0.377
Br 0.114 0.250 0.115
Br 0.354 0.750 0.874
Br 0.394 0.750 0.373
Br 0.606 0.250 0.627
Br 0.646 0.250 0.126
Br 0.886 0.750 0.885

The 10 most intense peaks (15 to 90 degrees two-theta), in order of rising 2θ:
d/Å  two_theta  I/Imax
3.108  28.7  100
3.061  29.2  45
2.471  36.4  11
2.276  39.6  14
2.219  40.7  33
2.144  42.1  28
2.127  42.5  19
1.746  52.4  17
1.554  59.5  8
1.244  76.6  9


LiBi3P6O20: computed PXRD pattern (a wavelength of 1.5418 Å), based on a GGA-PBE-relaxed structure.
No peak broadening, texture or thermal motion is included.

Cell and atoms:
Unit cell a=8.650 b=8.650 c=12.950 alpha=90.00 beta=90.00 gamma=105.84
Sites, in units of the cell vectors:
Li 0.066 0.066 0.000
Li 0.934 0.934 0.500
Bi 0.218 0.782 0.250
Bi 0.258 0.742 0.750
Bi 0.376 0.376 0.000
Bi 0.624 0.624 0.500
Bi 0.742 0.258 0.250
Bi 0.782 0.218 0.750
P 0.109 0.370 0.333
P 0.200 0.298 0.785
P 0.217 0.636 0.482
P 0.298 0.200 0.215
P 0.364 0.783 0.018
P 0.370 0.109 0.667
P 0.630 0.891 0.167
P 0.636 0.217 0.518
P 0.702 0.800 0.715
P 0.783 0.364 0.982
P 0.800 0.702 0.285
P 0.891 0.630 0.833
O 0.026 0.782 0.845
O 0.043 0.233 0.728
O 0.074 0.490 0.258
O 0.128 0.742 0.424
O 0.153 0.447 0.444
O 0.183 0.620 0.595
O 0.199 0.212 0.114
O 0.212 0.199 0.886
O 0.218 0.974 0.655
O 0.233 0.043 0.272
O 0.258 0.872 0.076
O 0.261 0.475 0.817
O 0.276 0.334 0.298
O 0.314 0.605 0.053
O 0.334 0.276 0.702
O 0.380 0.817 0.905
O 0.395 0.686 0.447
O 0.447 0.153 0.556
O 0.475 0.261 0.183
O 0.490 0.074 0.742
O 0.510 0.926 0.242
O 0.525 0.739 0.683
O 0.553 0.847 0.056
O 0.605 0.314 0.947
O 0.620 0.183 0.405
O 0.666 0.724 0.202
O 0.686 0.395 0.553
O 0.724 0.666 0.798
O 0.739 0.525 0.317
O 0.742 0.128 0.576
O 0.767 0.957 0.772
O 0.782 0.026 0.155
O 0.788 0.801 0.386
O 0.801 0.788 0.614
O 0.817 0.380 0.095
O 0.847 0.553 0.944
O 0.872 0.258 0.924
O 0.926 0.510 0.758
O 0.957 0.767 0.228
O 0.974 0.218 0.345

The 10 most intense peaks (15 to 90 degrees two-theta), in order of rising 2θ:
d/Å  two_theta  I/Imax
5.110  17.4  58
4.722  18.8  92
4.161  21.4  100
4.003  22.2  39
3.961  22.4  60
3.500  25.4  69
3.237  27.6  44
2.554  35.1  42
2.419  37.2  41
1.981  45.8  39


As2Se3N2F12: computed PXRD pattern (a wavelength of 1.5418 Å), based on a GGA-PBE-relaxed structure.
No peak broadening, texture or thermal motion is included.

Cell and atoms:
Unit cell a=7.905 b=7.905 c=11.180 alpha=91.14 beta=91.14 gamma=68.17
Sites, in units of the cell vectors:
As 0.000 0.000 0.000
As 0.342 0.389 0.251
As 0.611 0.658 0.749
As 0.995 0.005 0.500
Se 0.145 0.428 0.642
Se 0.151 0.427 0.857
Se 0.521 0.199 0.747
Se 0.572 0.855 0.358
Se 0.573 0.849 0.143
Se 0.801 0.479 0.253
N 0.370 0.287 0.625
N 0.377 0.287 0.871
N 0.713 0.623 0.129
N 0.713 0.630 0.375
F 0.059 0.787 0.565
F 0.073 0.089 0.629
F 0.073 0.789 0.921
F 0.092 0.095 0.888
F 0.167 0.448 0.139
F 0.171 0.452 0.362
F 0.211 0.927 0.079
F 0.213 0.941 0.435
F 0.340 0.160 0.251
F 0.347 0.609 0.251
F 0.391 0.653 0.749
F 0.510 0.316 0.139
F 0.514 0.321 0.363
F 0.548 0.829 0.638
F 0.552 0.833 0.861
F 0.679 0.486 0.637
F 0.684 0.490 0.861
F 0.775 0.068 0.564
F 0.788 0.071 0.921
F 0.840 0.660 0.749
F 0.905 0.908 0.112
F 0.911 0.927 0.371
F 0.929 0.212 0.079
F 0.932 0.225 0.436

The 10 most intense peaks (15 to 90 degrees two-theta), in order of rising 2θ:
d/Å  two_theta  I/Imax
5.588  15.9  19
4.475  19.8  72
4.421  20.1  97
4.301  20.7  21
4.201  21.2  19
3.914  22.7  100
3.669  24.3  42
3.500  25.5  20
3.472  25.7  18
2.632  34.1  20